No. 1
Structure and computed XRD peak list of YGaRh (a cell relaxed with PBE; Cu Kα).

Cell and atoms:
```
data_YGaRh
_symmetry_space_group_name_H-M 'P n m a'
_symmetry_Int_Tables_number 62
_cell_length_a 6.8118
_cell_length_b 4.3644
_cell_length_c 7.7534
_cell_angle_alpha 90.00
_cell_angle_beta 90.00
_cell_angle_gamma 90.00
loop_
_symmetry_equiv_pos_as_xyz
'x,y,z'
'-x,-y,-z'
'-x+1/2,-y,z+1/2'
'x+1/2,y,-z+1/2'
'x+1/2,-y+1/2,-z+1/2'
'-x+1/2,y+1/2,z+1/2'
'-x,y+1/2,-z'
'x,-y+1/2,z'
loop_
_atom_site_label
_atom_site_type_symbol
_atom_site_fract_x
_atom_site_fract_y
_atom_site_fract_z
Y1 Y 0.0185 0.2500 0.1951
Ga1 Ga 0.1663 0.2500 0.5744
Rh1 Rh 0.2257 0.7500 0.3988
```

The 10 most intense peaks (2θ from 15° to 90°), by angle:
2θ 33.6, d = 2.667 Å, rel. 47.6, (1 1 2)
2θ 35.1, d = 2.559 Å, rel. 28.8, (2 0 2)
2θ 35.4, d = 2.537 Å, rel. 100.0, (2 1 1)
2θ 40.6, d = 2.224 Å, rel. 64.0, (0 1 3)
2θ 41.4, d = 2.181 Å, rel. 68.1, (0 2 0)
2θ 48.9, d = 1.862 Å, rel. 11.6, (2 1 3)
2θ 55.3, d = 1.660 Å, rel. 15.0, (2 2 2)
2θ 60.0, d = 1.542 Å, rel. 14.3, (3 2 1)
2θ 67.0, d = 1.397 Å, rel. 18.8, (3 1 4)
2θ 71.6, d = 1.318 Å, rel. 12.1, (2 3 1)

---

No. 2
Structure and computed XRD peak list of ZnGaRh2 (a cell relaxed with PBE; Cu Kα).

Cell and atoms:
```
data_ZnGaRh2
_symmetry_space_group_name_H-M 'F m -3 m'
_symmetry_Int_Tables_number 225
_symmetry_space_group_name_Hall '-F 4 2 3'
_cell_length_a 6.0567
_cell_length_b 6.0567
_cell_length_c 6.0567
_cell_angle_alpha 90.00
_cell_angle_beta 90.00
_cell_angle_gamma 90.00
loop_
_atom_site_label
_atom_site_type_symbol
_atom_site_fract_x
_atom_site_fract_y
_atom_site_fract_z
Zn1 Zn 0.0000 0.0000 0.0000
Ga1 Ga 0.0000 0.0000 0.5000
Rh1 Rh 0.2500 0.2500 0.2500
```

The 6 most intense peaks (2θ from 15° to 90°), by angle:
2θ 29.5, d = 3.028 Å, rel. 4.7, (2 0 0)
2θ 42.2, d = 2.141 Å, rel. 100.0, (2 2 0)
2θ 52.3, d = 1.748 Å, rel. 1.2, (2 2 2)
2θ 61.2, d = 1.514 Å, rel. 16.1, (4 0 0)
2θ 69.4, d = 1.354 Å, rel. 1.7, (4 2 0)
2θ 77.2, d = 1.236 Å, rel. 32.0, (4 2 2)

---

No. 3
Structure and computed XRD peak list of ZrGaRh2 (a cell relaxed with PBE; Cu Kα).

Cell and atoms:
```
data_ZrGaRh2
_symmetry_space_group_name_H-M 'F m -3 m'
_symmetry_Int_Tables_number 225
_symmetry_space_group_name_Hall '-F 4 2 3'
_cell_length_a 6.3578
_cell_length_b 6.3578
_cell_length_c 6.3578
_cell_angle_alpha 90.00
_cell_angle_beta 90.00
_cell_angle_gamma 90.00
loop_
_atom_site_label
_atom_site_type_symbol
_atom_site_fract_x
_atom_site_fract_y
_atom_site_fract_z
Zr1 Zr 0.0000 0.0000 0.0000
Ga1 Ga 0.0000 0.0000 0.5000
Rh1 Rh 0.2500 0.2500 0.2500
```

The 8 most intense peaks (2θ from 15° to 90°), by angle:
2θ 24.2, d = 3.671 Å, rel. 0.8, (1 1 1)
2θ 28.1, d = 3.179 Å, rel. 1.9, (2 0 0)
2θ 40.1, d = 2.248 Å, rel. 100.0, (2 2 0)
2θ 49.7, d = 1.835 Å, rel. 0.5, (2 2 2)
2θ 58.0, d = 1.589 Å, rel. 16.5, (4 0 0)
2θ 65.7, d = 1.422 Å, rel. 0.7, (4 2 0)
2θ 72.9, d = 1.298 Å, rel. 32.8, (4 2 2)
2θ 86.6, d = 1.124 Å, rel. 10.5, (4 4 0)

---

No. 4
Structure and computed XRD peak list of Ga2Ru (a cell relaxed with PBE; Cu Kα).

Cell and atoms:
```
data_Ga2Ru
_symmetry_space_group_name_H-M 'F d d d'
_symmetry_Int_Tables_number 70
_cell_length_a 4.7825
_cell_length_b 8.2845
_cell_length_c 8.7818
_cell_angle_alpha 90.00
_cell_angle_beta 90.00
_cell_angle_gamma 90.00
loop_
_symmetry_equiv_pos_as_xyz
'x,y,z'
'-x,-y,-z'
'-x+1/4,-y+1/4,z'
'x+1/4,y+1/4,-z'
'x,-y+1/4,-z+1/4'
'-x,y+1/4,z+1/4'
'-x+1/4,y,-z+1/4'
'x+1/4,-y,z+1/4'
'x,y+1/2,z+1/2'
'-x,-y+1/2,-z+1/2'
'-x+1/4,-y+3/4,z+1/2'
'x+1/4,y+3/4,-z+1/2'
'x,-y+3/4,-z+3/4'
'-x,y+3/4,z+3/4'
'-x+1/4,y+1/2,-z+3/4'
'x+1/4,-y+1/2,z+3/4'
'x+1/2,y,z+1/2'
'-x+1/2,-y,-z+1/2'
'-x+3/4,-y+1/4,z+1/2'
'x+3/4,y+1/4,-z+1/2'
'x+1/2,-y+1/4,-z+3/4'
'-x+1/2,y+1/4,z+3/4'
'-x+3/4,y,-z+3/4'
'x+3/4,-y,z+3/4'
'x+1/2,y+1/2,z'
'-x+1/2,-y+1/2,-z'
'-x+3/4,-y+3/4,z'
'x+3/4,y+3/4,-z'
'x+1/2,-y+3/4,-z+1/4'
'-x+1/2,y+3/4,z+1/4'
'-x+3/4,y+1/2,-z+1/4'
'x+3/4,-y+1/2,z+1/4'
loop_
_atom_site_label
_atom_site_type_symbol
_atom_site_fract_x
_atom_site_fract_y
_atom_site_fract_z
Ga1 Ga 0.1250 0.2938 0.1250
Ru1 Ru 0.1250 0.1250 0.6250
```

The 10 most intense peaks (2θ from 15° to 90°), by angle:
2θ 39.0, d = 2.307 Å, rel. 100.0, (1 3 1)
2θ 41.1, d = 2.195 Å, rel. 43.1, (0 0 4)
2θ 43.1, d = 2.100 Å, rel. 75.4, (2 0 2)
2θ 49.2, d = 1.852 Å, rel. 50.7, (1 3 3)
2θ 66.0, d = 1.416 Å, rel. 20.4, (1 3 5)
2θ 68.8, d = 1.364 Å, rel. 17.9, (3 3 1)
2θ 71.6, d = 1.317 Å, rel. 15.8, (0 6 2)
2θ 76.3, d = 1.249 Å, rel. 26.5, (2 0 6)
2θ 80.3, d = 1.196 Å, rel. 17.2, (4 0 0)
2θ 87.9, d = 1.111 Å, rel. 9.5, (1 3 7)

---

No. 5
Structure and computed XRD peak list of GaRu (a cell relaxed with PBE; Cu Kα).

Cell and atoms:
```
data_GaRu
_symmetry_space_group_name_H-M 'P m -3 m'
_symmetry_Int_Tables_number 221
_symmetry_space_group_name_Hall '-P 4 2 3'
_cell_length_a 3.0300
_cell_length_b 3.0300
_cell_length_c 3.0300
_cell_angle_alpha 90.00
_cell_angle_beta 90.00
_cell_angle_gamma 90.00
loop_
_atom_site_label
_atom_site_type_symbol
_atom_site_fract_x
_atom_site_fract_y
_atom_site_fract_z
Ga1 Ga 0.0000 0.0000 0.0000
Ru1 Ru 0.5000 0.5000 0.5000
```

The 6 most intense peaks (2θ from 15° to 90°), by angle:
2θ 29.5, d = 3.030 Å, rel. 3.9, (1 0 0)
2θ 42.2, d = 2.143 Å, rel. 100.0, (1 1 0)
2θ 52.3, d = 1.749 Å, rel. 1.0, (1 1 1)
2θ 61.2, d = 1.515 Å, rel. 16.2, (2 0 0)
2θ 69.3, d = 1.355 Å, rel. 1.3, (2 1 0)
2θ 77.1, d = 1.237 Å, rel. 32.2, (2 1 1)

---

No. 6
Structure and computed XRD peak list of Ga2Ru (a cell relaxed with PBE; Cu Kα).

Cell and atoms:
```
data_Ga2Ru
_symmetry_space_group_name_H-M 'I 41/a m d'
_symmetry_Int_Tables_number 141
_cell_length_a 6.5944
_cell_length_b 6.5944
_cell_length_c 9.2360
_cell_angle_alpha 90.00
_cell_angle_beta 90.00
_cell_angle_gamma 90.00
loop_
_symmetry_equiv_pos_as_xyz
'x,y,z'
'-x,-y,-z'
'-y+1/4,x+3/4,z+1/4'
'y+1/4,-x+3/4,-z+1/4'
'-x+1/2,-y,z+1/2'
'x+1/2,y,-z+1/2'
'y+1/4,-x+1/4,z+3/4'
'-y+1/4,x+1/4,-z+3/4'
'x,-y,-z'
'-x,y,z'
'-y+1/4,-x+1/4,-z+3/4'
'y+1/4,x+1/4,z+3/4'
'-x+1/2,y,-z+1/2'
'x+1/2,-y,z+1/2'
'y+1/4,x+3/4,-z+1/4'
'-y+1/4,-x+3/4,z+1/4'
'x+1/2,y+1/2,z+1/2'
'-x+1/2,-y+1/2,-z+1/2'
'-y+3/4,x+1/4,z+3/4'
'y+3/4,-x+1/4,-z+3/4'
'-x,-y+1/2,z'
'x,y+1/2,-z'
'y+3/4,-x+3/4,z+1/4'
'-y+3/4,x+3/4,-z+1/4'
'x+1/2,-y+1/2,-z+1/2'
'-x+1/2,y+1/2,z+1/2'
'-y+3/4,-x+3/4,-z+1/4'
'y+3/4,x+3/4,z+1/4'
'-x,y+1/2,-z'
'x,-y+1/2,z'
'y+3/4,x+1/4,-z+3/4'
'-y+3/4,-x+1/4,z+3/4'
loop_
_atom_site_label
_atom_site_type_symbol
_atom_site_fract_x
_atom_site_fract_y
_atom_site_fract_z
Ga1 Ga 0.0000 0.0350 0.2700
Ru1 Ru 0.0000 0.0000 0.0000
```

The 10 most intense peaks (2θ from 15° to 90°), by angle:
2θ 16.5, d = 5.367 Å, rel. 22.3, (1 0 1)
2θ 31.9, d = 2.809 Å, rel. 42.7, (2 1 1)
2θ 32.1, d = 2.790 Å, rel. 24.3, (1 0 3)
2θ 38.6, d = 2.331 Å, rel. 100.0, (2 2 0)
2θ 39.0, d = 2.309 Å, rel. 46.9, (0 0 4)
2θ 42.4, d = 2.130 Å, rel. 45.3, (2 1 3)
2θ 51.1, d = 1.789 Å, rel. 22.9, (3 0 3)
2θ 55.8, d = 1.649 Å, rel. 29.9, (4 0 0)
2θ 56.1, d = 1.641 Å, rel. 56.9, (2 2 4)
2θ 70.1, d = 1.342 Å, rel. 25.6, (4 0 4)